No. 1
This entry pairs a crystal structure of Li5Hg with its simulated powder diffraction line list. Radiation: CuKα. Structure: a crystal structure in Alexandria, relaxed with GGA-PBE.
Neutral-atom scattering factors, no anomalous dispersion.

Most intense lines, 2θ from 5° to 70°, by angle:
d (Å), 2theta, I_rel
6.108, 14.50, 100.0
4.403, 20.17, 47.3
3.879, 22.93, 70.5
3.571, 24.93, 57.6
2.911, 30.72, 68.6
2.886, 30.99, 33.8
2.509, 35.78, 23.3
2.414, 37.25, 55.8
1.915, 47.49, 21.3
1.894, 48.05, 21.4

Atomic structure:
Unit cell a=4.0910 b=12.2162 c=4.4025 alpha=90.00 beta=90.00 gamma=90.00
Sites, in units of the cell vectors:
1 Li 0.0000 0.0000 0.0000
2 Li 0.0000 0.1604 0.5000
3 Li 0.0000 0.3410 0.0000
4 Li 0.0000 0.6590 0.0000
5 Li 0.0000 0.8396 0.5000
6 Li 0.5000 0.1590 0.0000
7 Li 0.5000 0.3396 0.5000
8 Li 0.5000 0.5000 0.0000
9 Li 0.5000 0.6604 0.5000
10 Li 0.5000 0.8410 0.0000
11 Hg 0.0000 0.5000 0.5000
12 Hg 0.5000 0.0000 0.5000

No. 2
This entry pairs a crystal structure of Tb3Er13 with its simulated powder diffraction line list. Radiation: CuKα. Structure: a crystal structure in Alexandria, relaxed with GGA-PBE.
Neutral-atom scattering factors, no anomalous dispersion.

Most intense lines, 2θ from 5° to 70°, by angle:
d (Å), 2theta, I_rel
3.109, 28.72, 24.0
2.778, 32.22, 23.7
2.713, 33.02, 100.0
2.072, 43.70, 15.5
1.795, 50.87, 19.9
1.591, 57.96, 20.2
1.554, 59.47, 3.1
1.508, 61.51, 22.5
1.497, 62.00, 16.5
1.357, 69.26, 3.9

Atomic structure:
Unit cell a=7.1851 b=8.3352 c=8.3352 alpha=83.62 beta=90.00 gamma=90.00
Sites, in units of the cell vectors:
1 Tb 0.0000 0.0000 0.0000
2 Tb 0.2506 0.7487 0.7487
3 Tb 0.7494 0.7487 0.7487
4 Er 0.0000 0.4156 0.9167
5 Er 0.0000 0.4987 0.4987
6 Er 0.0000 0.9167 0.4156
7 Er 0.2504 0.1670 0.6652
8 Er 0.2501 0.2497 0.2497
9 Er 0.2504 0.6652 0.1670
10 Er 0.5000 0.9999 0.9999
11 Er 0.5000 0.4148 0.9173
12 Er 0.5000 0.4987 0.4987
13 Er 0.5000 0.9173 0.4148
14 Er 0.7496 0.1670 0.6652
15 Er 0.7499 0.2497 0.2497
16 Er 0.7496 0.6652 0.1670